(1)
For ScTe2H2Pd7, a structure optimized by DFT (PBE) gives the theoretical X-ray powder pattern in this record (Cu Kα (λ = 1.5418 Å)).
Lines closer than 0.1° are merged.

Atomic structure:
```
12
Lattice="2.8631 -2.8603 0.0000 2.8631 2.8603 0.0000 -2.8591 0.0000 11.1644" Properties=species:S:1:pos:R:3 pbc="T T T"
Sc 0.0000 0.0000 0.0000
Te 0.0024 0.0000 4.3137
Te 2.8649 0.0000 6.8507
H 0.0128 0.0000 9.2305
H 2.8544 0.0000 1.9339
Pd 1.4321 1.4301 2.0061
Pd -0.0070 0.0000 7.0487
Pd 1.4351 1.4301 9.1583
Pd 2.8631 0.0000 0.0000
Pd 1.4321 -1.4301 2.0061
Pd 2.8742 0.0000 4.1157
Pd 1.4351 -1.4301 9.1583
```

Top 12 peaks for 10° ≤ 2θ ≤ 90°, low angle first:
2θ = 32.1°, intensity 9
2θ = 32.3°, intensity 31
2θ = 35.2°, intensity 36
2θ = 39.7°, intensity 100
2θ = 40.4°, intensity 22
2θ = 44.8°, intensity 51
2θ = 61.9°, intensity 25
2θ = 65.2°, intensity 16
2θ = 75.8°, intensity 18
2θ = 76.3°, intensity 7
2θ = 79.1°, intensity 26
2θ = 79.6°, intensity 12

***

(2)
For H2Pd7Se2, a structure optimized by DFT (PBE) gives the theoretical X-ray powder pattern in this record (Cu Kα (λ = 1.5418 Å)).
Lines closer than 0.1° are merged.

Atomic structure:
```
11
Lattice="4.9370 0.0000 0.0000 -0.1753 5.1427 0.0000 -0.2911 -0.7253 6.2478" Properties=species:S:1:pos:R:3 pbc="T T T"
H 0.1009 1.1020 1.6634
H 4.3697 3.3154 4.5844
Pd -0.2332 2.2087 3.1239
Pd 0.9182 4.7946 2.2530
Pd 0.8196 3.9752 5.5482
Pd 1.1676 2.1665 0.6099
Pd 3.3030 2.2510 5.6379
Pd 3.6510 0.4422 0.6996
Pd 3.5524 -0.3771 3.9947
Se 1.5122 0.9689 4.4458
Se 2.9584 3.4486 1.8020
```

Top 12 peaks for 10° ≤ 2θ ≤ 90°, low angle first:
2θ = 27.9°, intensity 21
2θ = 34.8°, intensity 19
2θ = 35.1°, intensity 22
2θ = 35.4°, intensity 29
2θ = 36.4°, intensity 100
2θ = 38.9°, intensity 62
2θ = 40.0°, intensity 41
2θ = 40.4°, intensity 43
2θ = 40.6°, intensity 53
2θ = 41.0°, intensity 33
2θ = 41.2°, intensity 14
2θ = 45.1°, intensity 20